No. 1
The following is a calculated X-ray diffraction stick pattern of Li2LaIn2AgAu2. It was derived from a structure optimized by DFT (GGA-PBE), using Cu Kα X-rays.
Neutral-atom scattering factors, no anomalous dispersion.

Most intense lines, 10° ≤ 2θ ≤ 90°, most intense first:
Position (°2θ)	d (Å)	intensity
36.6	2.457	100
22.2	4.006	67
36.8	2.445	51
66.1	1.414	35
43.4	2.087	24
53.0	1.729	18
65.7	1.420	16
43.0	2.101	12
77.8	1.228	10
57.9	1.594	10

Crystal structure
```
Li2LaIn2AgAu2
1.0
4.891 0.000 0.000
0.000 4.891 0.000
0.000 0.000 6.980
Li La In Ag Au
2 1 2 1 2
direct
0.000 0.500 0.186
0.500 0.000 0.814
0.000 0.000 0.500
0.000 0.000 0.000
0.500 0.500 0.500
0.500 0.500 0.000
0.000 0.500 0.766
0.500 0.000 0.234
```

No. 2
The following is a calculated X-ray diffraction stick pattern of In7IrOsO8. It was derived from a structure optimized by DFT (GGA-PBE), using Cu Kα X-rays.
Neutral-atom scattering factors, no anomalous dispersion.

Most intense lines, 10° ≤ 2θ ≤ 90°, most intense first:
Position (°2θ)	d (Å)	intensity
30.1	2.970	100
50.2	1.819	90
34.9	2.572	86
59.6	1.551	41
28.8	3.102	31
84.2	1.150	30
24.5	3.638	25
62.5	1.485	22
14.9	5.941	21
81.6	1.180	17

Crystal structure
```
In7IrOsO8
1.0
0.000 5.145 5.145
5.145 0.000 5.145
5.145 5.145 0.000
In Ir Os O
7 1 1 8
direct
0.000 0.000 0.000
0.000 0.000 0.500
0.000 0.500 0.000
0.000 0.500 0.500
0.500 0.000 0.000
0.500 0.000 0.500
0.500 0.500 0.000
0.250 0.250 0.250
0.500 0.500 0.500
0.177 0.608 0.608
0.357 0.881 0.881
0.608 0.177 0.608
0.608 0.608 0.177
0.608 0.608 0.608
0.881 0.357 0.881
0.881 0.881 0.357
0.881 0.881 0.881
```